Structure and computed powder diffractogram of Tl2Bi2Pd7Pb (a crystal structure in Alexandria, relaxed with PBE; λ = 1.5418 Å (Cu Kα)).

Cell and atoms:
```
data_Tl2Bi2Pd7Pb
_chemical_formula_sum 'Tl4 Bi4 Pd14 Pb2'
_space_group_name_H-M_alt 'C 1 2/m 1'
_space_group_IT_number 12
_cell_length_a 5.7520
_cell_length_b 5.6595
_cell_length_c 15.7110
_cell_angle_alpha 90.00
_cell_angle_beta 96.97
_cell_angle_gamma 90.00
loop_
_space_group_symop_operation_xyz
'x,y,z'
'-x,-y,-z'
'-x,y,-z'
'x,-y,z'
'x+1/2,y+1/2,z'
'-x+1/2,-y+1/2,-z'
'-x+1/2,y+1/2,-z'
'x+1/2,-y+1/2,z'
loop_
_atom_site_label
_atom_site_type_symbol
_atom_site_fract_x
_atom_site_fract_y
_atom_site_fract_z
Tl1 Tl 0.0879 0.0000 0.2582
Bi1 Bi 0.1342 0.5000 0.3909
Pd1 Pd 0.0000 0.0000 0.0000
Pd2 Pd 0.1681 0.0000 0.4401
Pd3 Pd 0.2050 0.2496 0.8672
Pb1 Pb 0.0000 0.5000 0.0000
```

Peak list (10 most intense, 2θ = 15–90°, in order of falling intensity)
- 44.98°, intensity 100.0, hkl 2 2 -1
- 25.79°, intensity 56.4, hkl 1 1 2
- 32.10°, intensity 55.9, hkl 2 0 -2
- 38.00°, intensity 52.8, hkl 1 1 5
- 36.14°, intensity 52.3, hkl 0 2 3
- 26.85°, intensity 45.4, hkl 1 1 -3
- 31.62°, intensity 45.1, hkl 0 2 0
- 43.17°, intensity 38.0, hkl 0 2 5
- 39.65°, intensity 38.0, hkl 1 1 -6
- 39.34°, intensity 35.2, hkl 0 2 4